Theoretical powder diffraction line list of PmEr2TmTh for copper Kα, from DFT lattice parameters and positions (PBE).
No peak broadening, texture or thermal motion is included.

Most intense lines, 5 to 70 degrees two-theta, in order of rising 2θ:
two_theta, Rel. int., (hkl)
20.55, 175, 0 0 2
31.75, 1000, 1 1 1
32.06, 395, 0 2 0
32.78, 197, 1 0 2
35.04, 266, 0 1 3
36.62, 242, 1 1 2
56.95, 194, 1 3 1
62.05, 201, 1 1 5

```
data_PmEr2TmTh
_chemical_formula_sum 'Pm1 Er2 Tm1 Th1'
_symmetry_space_group_name_H-M 'P m m m'
_symmetry_Int_Tables_number 47
_cell_length_a 3.525
_cell_length_b 5.584
_cell_length_c 8.645
_cell_angle_alpha 90.00
_cell_angle_beta 90.00
_cell_angle_gamma 90.00
loop_
_symmetry_equiv_pos_as_xyz
'x,y,z'
'-x,-y,-z'
'-x,-y,z'
'x,y,-z'
'x,-y,-z'
'-x,y,z'
'-x,y,-z'
'x,-y,z'
loop_
_atom_site_label
_atom_site_type_symbol
_atom_site_fract_x
_atom_site_fract_y
_atom_site_fract_z
Pm1 Pm 0.000 0.000 0.000
Er1 Er 0.000 0.500 0.322
Tm1 Tm 0.500 0.000 0.500
Th1 Th 0.500 0.500 0.000
```